Entry 1:
# PaCuS4
Calculated powder diffraction line list, Cu Kα X-rays. Input: a cell relaxed with GGA-PBE.

Largest 8 diffraction maxima, in order of rising 2θ, 10° ≤ 2θ ≤ 90°:
two_theta	I (rel.)
13.87	68
17.37	100
21.73	62
27.64	65
29.61	36
37.37	60
41.95	45
49.26	45

Structure:
Cell lengths 6.5425, 6.5425, 3.7402 Å; angles 90.00, 90.00, 102.62 degrees
Positions (direct):
1 Pa 0.0000 0.0000 0.0000
2 Cu 0.5000 0.5000 0.5000
3 S 0.1742 0.8258 0.5000
4 S 0.3368 0.3368 0.0000
5 S 0.6632 0.6632 0.0000
6 S 0.8258 0.1742 0.5000

Entry 2:
# CsAcPbCl6
Calculated powder diffraction line list, Cu Kα X-rays. Input: a cell relaxed with GGA-PBE.

Largest 8 diffraction maxima, in order of rising 2θ, 10° ≤ 2θ ≤ 90°:
two_theta	I (rel.)
10.08	77
19.34	34
19.50	100
19.88	45
20.24	35
20.72	87
33.63	45
39.58	48

Structure:
Cell lengths 10.6656, 10.6656, 10.6656 Å; angles 121.79, 119.55, 88.86 degrees
Positions (direct):
1 Cs 0.2938 0.0438 0.2500
2 Cs 0.7062 0.9562 0.7500
3 Ac 0.0000 0.5000 0.5000
4 Ac 0.5000 0.5000 0.0000
5 Pb 0.0000 0.0000 0.5000
6 Pb 0.0000 0.5000 0.0000
7 Cl 0.0604 0.4065 0.2335
8 Cl 0.0604 0.8269 0.6539
9 Cl 0.0749 0.8249 0.2500
10 Cl 0.3239 0.5739 0.7500
11 Cl 0.3270 0.1731 0.7335
12 Cl 0.3270 0.5935 0.1539
13 Cl 0.6730 0.4065 0.8461
14 Cl 0.6730 0.8269 0.2665
15 Cl 0.6761 0.4261 0.2500
16 Cl 0.9251 0.1751 0.7500
17 Cl 0.9396 0.1731 0.3461
18 Cl 0.9396 0.5935 0.7665

Entry 3:
# K2AgHg16
Calculated powder diffraction line list, Cu Kα X-rays. Input: a cell relaxed with GGA-PBE.

Largest 8 diffraction maxima, in order of rising 2θ, 10° ≤ 2θ ≤ 90°:
two_theta	I (rel.)
28.76	19
29.39	29
31.67	25
33.49	100
37.15	19
37.71	24
39.92	16
62.33	16

Structure:
Cell lengths 8.2986, 8.2986, 8.2986 Å; angles 78.72, 78.72, 78.72 degrees
Positions (direct):
1 K 0.0000 0.0000 0.0000
2 K 0.3163 0.3163 0.3163
3 Ag 0.6215 0.6215 0.6215
4 Hg 0.0189 0.0189 0.5718
5 Hg 0.0189 0.5718 0.0189
6 Hg 0.2656 0.6110 0.6110
7 Hg 0.2797 0.2797 0.8916
8 Hg 0.2797 0.8916 0.2797
9 Hg 0.3763 0.6757 0.9694
10 Hg 0.3763 0.9694 0.6757
11 Hg 0.5718 0.0189 0.0189
12 Hg 0.6110 0.2656 0.6110
13 Hg 0.6110 0.6110 0.2656
14 Hg 0.6757 0.3763 0.9694
15 Hg 0.6757 0.9694 0.3763
16 Hg 0.7902 0.7902 0.7902
17 Hg 0.8916 0.2797 0.2797
18 Hg 0.9694 0.3763 0.6757
19 Hg 0.9694 0.6757 0.3763

Entry 4:
# YEr2Si6
Calculated powder diffraction line list, Cu Kα X-rays. Input: a cell relaxed with GGA-PBE.

Largest 8 diffraction maxima, in order of rising 2θ, 10° ≤ 2θ ≤ 90°:
two_theta	I (rel.)
22.74	10
25.15	47
34.16	100
44.31	33
53.55	12
57.11	23
66.14	20
75.01	20

Structure:
Cell lengths 7.0822, 7.0822, 3.9097 Å; angles 90.00, 90.00, 120.00 degrees
Positions (direct):
1 Y 0.0000 0.0000 0.0000
2 Er 0.3333 0.6667 0.0000
3 Er 0.6667 0.3333 0.0000
4 Si 0.0000 0.3340 0.5000
5 Si 0.0000 0.6660 0.5000
6 Si 0.3340 0.0000 0.5000
7 Si 0.3340 0.3340 0.5000
8 Si 0.6660 0.0000 0.5000
9 Si 0.6660 0.6660 0.5000

Entry 5:
# HfScRh2
Calculated powder diffraction line list, Cu Kα X-rays. Input: a cell relaxed with GGA-PBE.

Largest 8 diffraction maxima, in order of rising 2θ, 10° ≤ 2θ ≤ 90°:
two_theta	I (rel.)
23.72	22
39.21	100
46.34	12
56.66	17
62.28	5
71.07	34
84.30	11
89.15	4

Structure:
Cell lengths 4.5950, 4.5950, 4.5950 Å; angles 60.00, 60.00, 60.00 degrees
Positions (direct):
1 Hf 0.0000 0.0000 0.0000
2 Sc 0.5000 0.5000 0.5000
3 Rh 0.2500 0.2500 0.2500
4 Rh 0.7500 0.7500 0.7500

Entry 6:
# Tb2Tm12Th
Calculated powder diffraction line list, Cu Kα X-rays. Input: a cell relaxed with GGA-PBE.

Largest 8 diffraction maxima, in order of rising 2θ, 10° ≤ 2θ ≤ 90°:
two_theta	I (rel.)
30.61	27
30.91	66
31.55	100
32.36	77
32.81	42
34.27	41
34.64	50
46.75	32

Structure:
Cell lengths 3.5219, 5.5330, 23.8200 Å; angles 90.00, 94.18, 90.00 degrees
Positions (direct):
1 Tb 0.1439 0.0000 0.2813
2 Tb 0.8561 0.0000 0.7187
3 Tm 0.0333 0.5000 0.0668
4 Tm 0.0685 0.0000 0.1357
5 Tm 0.2236 0.5000 0.4449
6 Tm 0.2866 0.0000 0.5762
7 Tm 0.3324 0.5000 0.6698
8 Tm 0.4034 0.5000 0.8073
9 Tm 0.5966 0.5000 0.1927
10 Tm 0.6676 0.5000 0.3302
11 Tm 0.7134 0.0000 0.4238
12 Tm 0.7764 0.5000 0.5551
13 Tm 0.9315 0.0000 0.8643
14 Tm 0.9667 0.5000 0.9332
15 Th 0.5000 0.0000 0.0000